The following is a computed X-ray powder pattern of CsMgZn3P3. It was derived from DFT lattice parameters and positions (GGA-PBE), using copper Kα.

The 10 most intense peaks (5° ≤ 2θ ≤ 70°), sorted by position:
- 22.79°, I = 26, (0 1 1)
- 25.50°, I = 64, (0 0 3)
- 27.19°, I = 71, (0 1 2)
- 27.61°, I = 50, (1 0 2)
- 31.64°, I = 100, (1 1 1)
- 35.02°, I = 44, (1 1 2)
- 43.02°, I = 36, (0 2 0)
- 44.13°, I = 33, (2 0 0)
- 46.45°, I = 84, (1 1 4)
- 63.33°, I = 22, (2 2 0)

Crystal structure
```
data_CsMgZn3P3
_chemical_formula_sum 'Cs1 Mg1 Zn3 P3'
_space_group_name_H-M_alt 'P m m 2'
_space_group_IT_number 25
_cell_length_a 4.104
_cell_length_b 4.205
_cell_length_c 10.480
_cell_angle_alpha 90.00
_cell_angle_beta 90.00
_cell_angle_gamma 90.00
loop_
_space_group_symop_operation_xyz
'x,y,z'
'-x,-y,z'
'-x,y,z'
'x,-y,z'
loop_
_atom_site_label
_atom_site_type_symbol
_atom_site_fract_x
_atom_site_fract_y
_atom_site_fract_z
Cs1 Cs 0.000 0.000 0.000
Mg1 Mg 0.500 0.000 0.648
Zn1 Zn 0.000 0.500 0.346
Zn2 Zn 0.000 0.500 0.653
Zn3 Zn 0.500 0.000 0.347
P1 P 0.000 0.000 0.496
P2 P 0.500 0.500 0.226
P3 P 0.500 0.500 0.776
```

***

The following is a computed X-ray powder pattern of CsMg2Zn2P3. It was derived from DFT lattice parameters and positions (GGA-PBE), using copper Kα.

The 10 most intense peaks (5° ≤ 2θ ≤ 70°), sorted by position:
- 21.58°, I = 45, (1 0 0)
- 22.18°, I = 46, (0 1 1)
- 25.35°, I = 58, (0 0 3)
- 26.63°, I = 100, (0 1 2)
- 27.49°, I = 50, (1 0 2)
- 31.13°, I = 98, (1 1 1)
- 33.53°, I = 39, (1 0 3)
- 34.53°, I = 45, (1 1 2)
- 45.94°, I = 85, (1 1 4)
- 52.13°, I = 39, (0 0 6)

Crystal structure
```
data_CsMg2Zn2P3
_chemical_formula_sum 'Cs1 Mg2 Zn2 P3'
_space_group_name_H-M_alt 'P m m m'
_space_group_IT_number 47
_cell_length_a 4.119
_cell_length_b 4.334
_cell_length_c 10.539
_cell_angle_alpha 90.00
_cell_angle_beta 90.00
_cell_angle_gamma 90.00
loop_
_space_group_symop_operation_xyz
'x,y,z'
'-x,-y,-z'
'-x,-y,z'
'x,y,-z'
'x,-y,-z'
'-x,y,z'
'-x,y,-z'
'x,-y,z'
loop_
_atom_site_label
_atom_site_type_symbol
_atom_site_fract_x
_atom_site_fract_y
_atom_site_fract_z
Cs1 Cs 0.000 0.000 0.000
Mg1 Mg 0.500 0.000 0.348
Zn1 Zn 0.000 0.500 0.346
P1 P 0.000 0.000 0.500
P2 P 0.500 0.500 0.225
```

***

The following is a computed X-ray powder pattern of CsMg2Zn2P3. It was derived from DFT lattice parameters and positions (GGA-PBE), using copper Kα.

The 10 most intense peaks (5° ≤ 2θ ≤ 70°), sorted by position:
- 22.71°, I = 38, (1 0 1)
- 25.37°, I = 35, (0 0 3)
- 27.09°, I = 100, (1 0 2)
- 31.17°, I = 59, (1 1 1)
- 33.20°, I = 17, (1 0 3)
- 34.56°, I = 29, (1 1 2)
- 42.89°, I = 45, (2 0 0)
- 45.98°, I = 50, (1 1 4)
- 50.48°, I = 21, (2 0 3)
- 51.46°, I = 31, (2 1 2)

Crystal structure
```
data_CsMg2Zn2P3
_chemical_formula_sum 'Cs1 Mg2 Zn2 P3'
_space_group_name_H-M_alt 'P -4 m 2'
_space_group_IT_number 115
_cell_length_a 4.218
_cell_length_b 4.218
_cell_length_c 10.533
_cell_angle_alpha 90.00
_cell_angle_beta 90.00
_cell_angle_gamma 90.00
loop_
_space_group_symop_operation_xyz
'x,y,z'
'y,-x,-z'
'-x,-y,z'
'-y,x,-z'
'-x,y,z'
'-y,-x,-z'
'x,-y,z'
'y,x,-z'
loop_
_atom_site_label
_atom_site_type_symbol
_atom_site_fract_x
_atom_site_fract_y
_atom_site_fract_z
Cs1 Cs 0.000 0.000 0.000
Mg1 Mg 0.000 0.500 0.647
Zn1 Zn 0.000 0.500 0.341
P1 P 0.000 0.000 0.500
P2 P 0.500 0.500 0.224
```

***

Please write out number 2 again, unchanged.
The following is a computed X-ray powder pattern of CsMg2Zn2P3. It was derived from DFT lattice parameters and positions (GGA-PBE), using copper Kα.

The 10 most intense peaks (5° ≤ 2θ ≤ 70°), sorted by position:
- 21.58°, I = 45, (1 0 0)
- 22.18°, I = 46, (0 1 1)
- 25.35°, I = 58, (0 0 3)
- 26.63°, I = 100, (0 1 2)
- 27.49°, I = 50, (1 0 2)
- 31.13°, I = 98, (1 1 1)
- 33.53°, I = 39, (1 0 3)
- 34.53°, I = 45, (1 1 2)
- 45.94°, I = 85, (1 1 4)
- 52.13°, I = 39, (0 0 6)

Crystal structure
```
data_CsMg2Zn2P3
_chemical_formula_sum 'Cs1 Mg2 Zn2 P3'
_space_group_name_H-M_alt 'P m m m'
_space_group_IT_number 47
_cell_length_a 4.119
_cell_length_b 4.334
_cell_length_c 10.539
_cell_angle_alpha 90.00
_cell_angle_beta 90.00
_cell_angle_gamma 90.00
loop_
_space_group_symop_operation_xyz
'x,y,z'
'-x,-y,-z'
'-x,-y,z'
'x,y,-z'
'x,-y,-z'
'-x,y,z'
'-x,y,-z'
'x,-y,z'
loop_
_atom_site_label
_atom_site_type_symbol
_atom_site_fract_x
_atom_site_fract_y
_atom_site_fract_z
Cs1 Cs 0.000 0.000 0.000
Mg1 Mg 0.500 0.000 0.348
Zn1 Zn 0.000 0.500 0.346
P1 P 0.000 0.000 0.500
P2 P 0.500 0.500 0.225
```

***

Q: What is the formula in the second record?
A: CsMg2Zn2P3